Record 1
For HfMg14VO16, DFT lattice parameters and positions (PBE+U) gives the computed powder diffraction line list in this record (λ = 1.5418 Å (Cu Kα)).

Atomic structure:
Unit cell a=4.3355 b=8.6515 c=8.6549 alpha=90.00 beta=90.00 gamma=90.00
Fractional positions:
1 Hf 0.0000 0.0000 0.0000
2 Mg 0.0000 0.2564 0.2551
3 Mg 0.0000 0.2564 0.7449
4 Mg 0.0000 0.5000 0.0000
5 Mg 0.0000 0.5000 0.5000
6 Mg 0.0000 0.7436 0.2551
7 Mg 0.0000 0.7436 0.7449
8 Mg 0.5000 0.0000 0.2560
9 Mg 0.5000 0.0000 0.7440
10 Mg 0.5000 0.2524 0.5000
11 Mg 0.5000 0.2562 0.0000
12 Mg 0.5000 0.5000 0.2512
13 Mg 0.5000 0.5000 0.7488
14 Mg 0.5000 0.7438 0.0000
15 Mg 0.5000 0.7476 0.5000
16 V 0.0000 0.0000 0.5000
17 O 0.0000 0.0000 0.2495
18 O 0.0000 0.0000 0.7505
19 O 0.0000 0.2553 0.0000
20 O 0.0000 0.2555 0.5000
21 O 0.0000 0.5000 0.2498
22 O 0.0000 0.5000 0.7502
23 O 0.0000 0.7447 0.0000
24 O 0.0000 0.7445 0.5000
25 O 0.5000 0.0000 0.0000
26 O 0.5000 0.0000 0.5000
27 O 0.5000 0.2498 0.2505
28 O 0.5000 0.2498 0.7495
29 O 0.5000 0.5000 0.0000
30 O 0.5000 0.5000 0.5000
31 O 0.5000 0.7502 0.2505
32 O 0.5000 0.7502 0.7495

Principal peaks in the range 2θ = 10–80°, in order of falling intensity:
hkl 2 0 0, 2θ 41.72, d = 2.165 Å, I = 100.0
hkl 2 0 4, 2θ 60.48, d = 1.531 Å, I = 58.5
hkl 0 1 0, 2θ 10.22, d = 8.653 Å, I = 55.1
hkl 0 1 2, 2θ 22.96, d = 3.873 Å, I = 40.9
hkl 1 2 2, 2θ 35.93, d = 2.500 Å, I = 29.9
hkl 0 3 0, 2θ 30.98, d = 2.886 Å, I = 27.6
hkl 0 2 0, 2θ 20.51, d = 4.330 Å, I = 27.3
hkl 1 2 0, 2θ 29.17, d = 3.061 Å, I = 23.0

Record 2
For HfMg14WO16, DFT lattice parameters and positions (PBE+U) gives the computed powder diffraction line list in this record (λ = 1.5418 Å (Cu Kα)).

Atomic structure:
Unit cell a=8.7082 b=8.7082 c=4.3026 alpha=90.00 beta=90.00 gamma=90.00
Fractional positions:
1 Hf 0.0000 0.0000 0.0000
2 Mg 0.0000 0.2602 0.5000
3 Mg 0.0000 0.5000 0.0000
4 Mg 0.0000 0.7398 0.5000
5 Mg 0.2514 0.5000 0.5000
6 Mg 0.2602 0.0000 0.5000
7 Mg 0.2597 0.2597 0.0000
8 Mg 0.2597 0.7403 0.0000
9 Mg 0.5000 0.0000 0.0000
10 Mg 0.5000 0.2514 0.5000
11 Mg 0.5000 0.7486 0.5000
12 Mg 0.7398 0.0000 0.5000
13 Mg 0.7403 0.2597 0.0000
14 Mg 0.7403 0.7403 0.0000
15 Mg 0.7486 0.5000 0.5000
16 W 0.5000 0.5000 0.0000
17 O 0.0000 0.0000 0.5000
18 O 0.0000 0.2470 0.0000
19 O 0.0000 0.5000 0.5000
20 O 0.0000 0.7530 0.0000
21 O 0.2296 0.5000 0.0000
22 O 0.2470 0.0000 0.0000
23 O 0.2483 0.2483 0.5000
24 O 0.2483 0.7517 0.5000
25 O 0.5000 0.0000 0.5000
26 O 0.5000 0.2296 0.0000
27 O 0.5000 0.5000 0.5000
28 O 0.5000 0.7704 0.0000
29 O 0.7517 0.2483 0.5000
30 O 0.7517 0.7517 0.5000
31 O 0.7530 0.0000 0.0000
32 O 0.7704 0.5000 0.0000

Principal peaks in the range 2θ = 10–80°, in order of falling intensity:
hkl 1 1 0, 2θ 14.38, d = 6.158 Å, I = 100.0
hkl 4 0 0, 2θ 41.48, d = 2.177 Å, I = 82.1
hkl 1 1 1, 2θ 25.25, d = 3.527 Å, I = 60.2
hkl 2 2 1, 2θ 35.87, d = 2.504 Å, I = 54.5
hkl 2 0 0, 2θ 20.40, d = 4.354 Å, I = 51.3
hkl 4 0 2, 2θ 60.50, d = 1.530 Å, I = 48.6
hkl 2 0 1, 2θ 29.18, d = 3.060 Å, I = 42.9
hkl 0 0 2, 2θ 42.00, d = 2.151 Å, I = 40.3

Record 3
For HfMg6WO8, DFT lattice parameters and positions (PBE+U) gives the computed powder diffraction line list in this record (λ = 1.5418 Å (Cu Kα)).

Atomic structure:
Unit cell a=4.4042 b=4.4042 c=8.8461 alpha=90.00 beta=90.00 gamma=90.00
Fractional positions:
1 Hf 0.0000 0.0000 0.0000
2 Mg 0.0000 0.0000 0.5000
3 Mg 0.0000 0.5000 0.2621
4 Mg 0.0000 0.5000 0.7379
5 Mg 0.5000 0.0000 0.2621
6 Mg 0.5000 0.0000 0.7379
7 Mg 0.5000 0.5000 0.5000
8 W 0.5000 0.5000 0.0000
9 O 0.0000 0.0000 0.2596
10 O 0.0000 0.0000 0.7404
11 O 0.0000 0.5000 0.0000
12 O 0.0000 0.5000 0.5000
13 O 0.5000 0.0000 0.0000
14 O 0.5000 0.0000 0.5000
15 O 0.5000 0.5000 0.2614
16 O 0.5000 0.5000 0.7386

Principal peaks in the range 2θ = 10–80°, in order of falling intensity:
hkl 1 1 2, 2θ 35.25, d = 2.546 Å, I = 100.0
hkl 1 1 1, 2θ 30.43, d = 2.938 Å, I = 97.9
hkl 2 0 0, 2θ 40.98, d = 2.202 Å, I = 94.2
hkl 1 1 3, 2θ 42.25, d = 2.139 Å, I = 74.1
hkl 0 0 2, 2θ 20.08, d = 4.423 Å, I = 66.5
hkl 2 0 4, 2θ 59.21, d = 1.560 Å, I = 58.3
hkl 1 1 0, 2θ 28.66, d = 3.114 Å, I = 55.8
hkl 0 0 4, 2θ 40.80, d = 2.212 Å, I = 46.7

Record 4
For HfMg6WO8, DFT lattice parameters and positions (PBE+U) gives the computed powder diffraction line list in this record (λ = 1.5418 Å (Cu Kα)).

Atomic structure:
Unit cell a=4.4403 b=4.4403 c=8.8413 alpha=90.00 beta=90.00 gamma=90.00
Fractional positions:
1 Hf 0.0000 0.0000 0.0000
2 Mg 0.0000 0.5000 0.2588
3 Mg 0.0000 0.5000 0.7412
4 Mg 0.5000 0.0000 0.2588
5 Mg 0.5000 0.0000 0.7412
6 Mg 0.5000 0.5000 0.0000
7 Mg 0.5000 0.5000 0.5000
8 W 0.0000 0.0000 0.5000
9 O 0.0000 0.0000 0.2377
10 O 0.0000 0.0000 0.7623
11 O 0.0000 0.5000 0.0000
12 O 0.0000 0.5000 0.5000
13 O 0.5000 0.0000 0.0000
14 O 0.5000 0.0000 0.5000
15 O 0.5000 0.5000 0.2501
16 O 0.5000 0.5000 0.7499

Principal peaks in the range 2θ = 10–80°, in order of falling intensity:
hkl 0 0 2, 2θ 20.03, d = 4.434 Å, I = 100.0
hkl 1 0 2, 2θ 28.47, d = 3.135 Å, I = 85.8
hkl 1 1 2, 2θ 35.05, d = 2.560 Å, I = 51.1
hkl 2 0 0, 2θ 40.64, d = 2.220 Å, I = 48.7
hkl 2 0 2, 2θ 45.71, d = 1.985 Å, I = 32.4
hkl 2 0 4, 2θ 58.97, d = 1.566 Å, I = 30.0
hkl 2 1 2, 2θ 50.38, d = 1.811 Å, I = 24.5
hkl 0 0 4, 2θ 40.83, d = 2.210 Å, I = 23.7